[1]
Theoretical PXRD pattern of TiGaNi for copper Kα, from a DFT-relaxed cell (GGA-PBE, the Materials Project).
Neutral-atom scattering factors, no anomalous dispersion.

Largest 6 diffraction maxima, sorted by position, 2θ from 5° to 70°:
2θ = 39.12°, I 100.0
2θ = 40.46°, I 40.6
2θ = 42.12°, I 74.4
2θ = 46.16°, I 72.0
2θ = 50.26°, I 42.1
2θ = 59.11°, I 19.0

abc: 6.8117 6.8117 3.1257
angles: 90.00 90.00 120.00
Space group P-62m (No. 189)
Unique sites:
Ti (0.0000, 0.6078, 0.0000) x3
Ga (0.0000, 0.2741, 0.5000) x3
Ni (0.0000, 0.0000, 0.0000) x1
Ni (0.3333, 0.6667, 0.5000) x2

[2]
Theoretical PXRD pattern of LiAlGe for copper Kα, from a DFT-relaxed cell (GGA-PBE, the Materials Project).
Neutral-atom scattering factors, no anomalous dispersion.

Largest 6 diffraction maxima, sorted by position, 2θ from 5° to 70°:
2θ = 26.24°, I 47.2
2θ = 30.39°, I 100.0
2θ = 43.52°, I 89.6
2θ = 51.53°, I 22.5
2θ = 54.01°, I 25.5
2θ = 63.24°, I 14.4

abc: 5.882 5.882 5.882
angles: 90.00 90.00 90.00
Space group F-43m (No. 216)
Unique sites:
Li (0.000, 0.000, 0.000) x4
Al (0.250, 0.250, 0.750) x4
Ge (0.250, 0.250, 0.250) x4

[3]
Theoretical PXRD pattern of Ti3O2 for copper Kα, from a DFT-relaxed cell (GGA-PBE, the Materials Project).
Neutral-atom scattering factors, no anomalous dispersion.

Largest 6 diffraction maxima, sorted by position, 2θ from 5° to 70°:
2θ = 34.99°, I 6.7
2θ = 36.09°, I 17.3
2θ = 39.53°, I 100.0
2θ = 51.15°, I 29.6
2θ = 62.76°, I 21.3
2θ = 67.21°, I 17.8

abc: 5.1285 5.1285 14.9313
angles: 90.00 90.00 120.00
Space group R-3c (No. 167, hexagonal axes)
Unique sites:
Ti (0.0000, 0.3301, 0.2500) x18
O (0.0000, 0.0000, 0.1623) x12

[4]
Theoretical PXRD pattern of Hf3Tl for copper Kα, from a DFT-relaxed cell (GGA-PBE, the Materials Project).
Neutral-atom scattering factors, no anomalous dispersion.

Largest 6 diffraction maxima, sorted by position, 2θ from 5° to 70°:
2θ = 34.85°, I 100.0
2θ = 38.07°, I 19.7
2θ = 41.61°, I 30.8
2θ = 57.67°, I 23.9
2θ = 60.31°, I 10.5
2θ = 66.73°, I 15.5

abc: 4.341 4.341 9.454
angles: 90.00 90.00 90.00
Space group I4/mmm (No. 139)
Unique sites:
Hf (0.000, 0.000, 0.000) x2
Hf (0.000, 0.500, 0.250) x4
Tl (0.000, 0.000, 0.500) x2

[5]
Theoretical PXRD pattern of Y5Sn4 for copper Kα, from a DFT-relaxed cell (GGA-PBE, the Materials Project).
Neutral-atom scattering factors, no anomalous dispersion.

Largest 6 diffraction maxima, sorted by position, 2θ from 5° to 70°:
2θ = 29.97°, I 94.2
2θ = 30.16°, I 53.1
2θ = 31.21°, I 31.3
2θ = 31.74°, I 44.1
2θ = 33.86°, I 51.6
2θ = 35.25°, I 100.0

abc: 8.043 15.581 8.169
angles: 90.00 90.00 90.00
Space group Pnma (No. 62)
Unique sites:
Y (0.023, 0.098, 0.180) x8
Y (0.133, 0.622, 0.336) x8
Y (0.198, 0.250, 0.503) x4
Sn (0.065, 0.250, 0.880) x4
Sn (0.170, 0.750, 0.647) x4
Sn (0.208, 0.041, 0.533) x8

[6]
Theoretical PXRD pattern of ZnCo3 for copper Kα, from a DFT-relaxed cell (GGA-PBE, the Materials Project).
Neutral-atom scattering factors, no anomalous dispersion.

Largest 3 diffraction maxima, sorted by position, 2θ from 5° to 70°:
2θ = 43.86°, I 100.0
2θ = 50.97°, I 15.6
2θ = 51.17°, I 30.9

abc: 3.571 3.571 7.167
angles: 90.00 90.00 90.00
Space group I4/mmm (No. 139)
Unique sites:
Zn (0.000, 0.000, 0.000) x2
Co (0.000, 0.000, 0.500) x2
Co (0.000, 0.500, 0.250) x4

[7]
Theoretical PXRD pattern of HfGaRh for copper Kα, from a DFT-relaxed cell (GGA-PBE, the Materials Project).
Neutral-atom scattering factors, no anomalous dispersion.

Largest 6 diffraction maxima, sorted by position, 2θ from 5° to 70°:
2θ = 24.50°, I 18.5
2θ = 36.71°, I 100.0
2θ = 37.82°, I 32.1
2θ = 39.49°, I 67.0
2θ = 43.12°, I 50.2
2θ = 47.03°, I 18.2

abc: 7.2667 7.2667 3.3138
angles: 90.00 90.00 120.00
Space group P-62m (No. 189)
Unique sites:
Hf (0.0000, 0.3957, 0.0000) x3
Ga (0.0000, 0.7294, 0.5000) x3
Rh (0.0000, 0.0000, 0.0000) x1
Rh (0.3333, 0.6667, 0.5000) x2

[8]
Theoretical PXRD pattern of TmTc2W for copper Kα, from a DFT-relaxed cell (GGA-PBE, the Materials Project).
Neutral-atom scattering factors, no anomalous dispersion.

Largest 5 diffraction maxima, sorted by position, 2θ from 5° to 70°:
2θ = 27.62°, I 8.9
2θ = 39.46°, I 100.0
2θ = 48.85°, I 2.7
2θ = 57.03°, I 17.0
2θ = 64.52°, I 3.7

abc: 6.459 6.459 6.459
angles: 90.00 90.00 90.00
Space group Fm-3m (No. 225)
Unique sites:
Tm (0.000, 0.000, 0.000) x4
Tc (0.250, 0.250, 0.250) x8
W (0.000, 0.000, 0.500) x4

[9]
Theoretical PXRD pattern of DyErRh2 for copper Kα, from a DFT-relaxed cell (GGA-PBE, the Materials Project).
Neutral-atom scattering factors, no anomalous dispersion.

Largest 6 diffraction maxima, sorted by position, 2θ from 5° to 70°:
2θ = 26.04°, I 5.4
2θ = 37.16°, I 100.0
2θ = 45.93°, I 1.7
2θ = 53.56°, I 17.4
2θ = 60.49°, I 2.4
2θ = 66.98°, I 35.3

abc: 6.844 6.844 6.844
angles: 90.00 90.00 90.00
Space group Fm-3m (No. 225)
Unique sites:
Dy (0.000, 0.000, 0.000) x4
Er (0.000, 0.000, 0.500) x4
Rh (0.250, 0.250, 0.250) x8

[10]
Theoretical PXRD pattern of LiErS2 for copper Kα, from a DFT-relaxed cell (GGA-PBE, the Materials Project).
Neutral-atom scattering factors, no anomalous dispersion.

Largest 6 diffraction maxima, sorted by position, 2θ from 5° to 70°:
2θ = 16.80°, I 100.0
2θ = 22.91°, I 97.6
2θ = 28.54°, I 45.8
2θ = 32.62°, I 88.1
2θ = 36.91°, I 57.6
2θ = 47.81°, I 58.6

abc: 3.883 3.883 5.277
angles: 90.00 90.00 90.00
Space group P4/mmm (No. 123)
Unique sites:
Li (0.000, 0.000, 0.000) x1
Er (0.500, 0.500, 0.500) x1
S (0.000, 0.000, 0.500) x1
S (0.500, 0.500, 0.000) x1

Please write out number 5 again, unchanged.
Theoretical PXRD pattern of Y5Sn4 for copper Kα, from a DFT-relaxed cell (GGA-PBE, the Materials Project).
Neutral-atom scattering factors, no anomalous dispersion.

Largest 6 diffraction maxima, sorted by position, 2θ from 5° to 70°:
2θ = 29.97°, I 94.2
2θ = 30.16°, I 53.1
2θ = 31.21°, I 31.3
2θ = 31.74°, I 44.1
2θ = 33.86°, I 51.6
2θ = 35.25°, I 100.0

abc: 8.043 15.581 8.169
angles: 90.00 90.00 90.00
Space group Pnma (No. 62)
Unique sites:
Y (0.023, 0.098, 0.180) x8
Y (0.133, 0.622, 0.336) x8
Y (0.198, 0.250, 0.503) x4
Sn (0.065, 0.250, 0.880) x4
Sn (0.170, 0.750, 0.647) x4
Sn (0.208, 0.041, 0.533) x8